This entry pairs a crystal structure of Rb2Pu2O5 with its simulated X-ray powder pattern. Radiation: CuKα. Structure: a GGA-PBE-relaxed structure.
Intensities are scaled so that the largest is 100.

Structural model:
```
data_Rb2Pu2O5
_cell_length_a 4.338
_cell_length_b 4.338
_cell_length_c 9.027
_cell_angle_alpha 90.00
_cell_angle_beta 90.00
_cell_angle_gamma 90.00
_space_group_name_H-M_alt 'P 4/m m m'
_space_group_IT_number 123
_space_group_name_Hall '-P 4 2'
loop_
_atom_site_label
_atom_site_fract_x
_atom_site_fract_y
_atom_site_fract_z
Rb1 0.000 0.000 0.000
Rb2 0.000 0.000 0.500
Pu1 0.500 0.500 0.241
O1 0.000 0.500 0.273
O2 0.500 0.500 0.000
```

Most intense lines, 5° ≤ 2θ ≤ 70°, low angle first:
2theta  d/Å  Rel. int.  h k l
19.67  4.514  18  0 0 2
20.47  4.338  27  1 0 0
28.54  3.128  100  1 0 2
29.11  3.068  43  1 1 0
41.64  2.169  25  2 0 0
50.18  1.818  20  1 1 4
51.25  1.782  41  2 1 2
59.07  1.564  16  2 0 4